Simulated powder XRD pattern of Sr3Hg8Pb2 for Cu Kα (weighted mean of Kα1 and Kα2), from DFT lattice parameters and positions (GGA-PBE).
Peak positions follow from Bragg's law for the DFT cell and can differ from measured ones.

Principal peaks in the range 10 to 90 degrees two-theta, by intensity:
| two_theta | intensity | hkl |
| --- | --- | --- |
| 30.20 | 100 | 1 1 3 |
| 34.10 | 59 | 0 0 15 |
| 41.26 | 55 | 0 2 10 |
| 36.00 | 53 | 2 0 5 |
| 34.41 | 43 | 2 0 2 |
| 52.65 | 36 | 2 0 17 |
| 17.01 | 36 | 1 0 1 |
| 61.04 | 30 | 2 2 0 |

Structural model:
```
data_Sr3Hg8Pb2
_chemical_formula_sum 'Sr9 Hg24 Pb6'
_cell_length_a 6.0721
_cell_length_b 6.0721
_cell_length_c 39.4547
_cell_angle_alpha 90.00
_cell_angle_beta 90.00
_cell_angle_gamma 120.00
_symmetry_space_group_name_H-M 'R -3 m'
_symmetry_Int_Tables_number 166
_symmetry_space_group_name_Hall '-R 3 2"'
loop_
_atom_site_label
_atom_site_fract_x
_atom_site_fract_y
_atom_site_fract_z
_atom_site_occupancy
Sr1 0.0000 0.0000 0.0000 1
Sr2 0.0000 0.0000 0.2386 1
Hg1 0.0000 0.0000 0.3187 1
Hg2 0.0079 0.5039 0.8004 1
Pb1 0.0000 0.0000 0.3954 1
```